Record 1
Simulated X-ray powder pattern of NdHo7Tm4 for Cu Kα, from a structure optimized by DFT (PBE).
No peak broadening, texture or thermal motion is included.

Crystal structure
Unit cell a=6.154 b=7.110 c=8.750 alpha=89.95 beta=76.32 gamma=89.91
Space group P-1 (No. 2)
One atom of each set of equivalent atoms:
Nd  0.000  0.000  0.000
Ho  0.000  0.500  0.000
Ho  0.222  0.000  0.335
Ho  0.279  0.748  0.664
Ho  0.500  0.252  0.000
Tm  0.221  0.500  0.335
Tm  0.279  0.251  0.665

Top 10 peaks for 10° ≤ 2θ ≤ 90°, in order of rising 2θ:
(hkl)  d/Å  intensity
1 -2 0  3.056  36.7
1 -2 1  2.992  16.9
0 0 3  2.834  50.8
2 0 2  2.772  100.0
1 2 2  2.635  90.7
3 2 1  1.777  39.1
2 0 5  1.654  20.8
3 2 4  1.506  30.4
3 2 -2  1.504  15.1
-2 4 1  1.473  15.3



Record 2
Simulated X-ray powder pattern of CdHgSeO6 for Cu Kα, from a structure optimized by DFT (PBE).
No peak broadening, texture or thermal motion is included.

Crystal structure
Unit cell a=9.958 b=9.814 c=5.724 alpha=90.00 beta=91.23 gamma=90.00
Space group C2/m (No. 12)
One atom of each set of equivalent atoms:
Cd  0.000  0.193  0.000
Hg  0.250  0.250  0.500
Se  0.197  0.500  0.039
O  0.051  0.175  0.411
O  0.132  0.000  0.972
O  0.149  0.359  0.894
O  0.150  0.500  0.314

Top 10 peaks for 10° ≤ 2θ ≤ 90°, in order of rising 2θ:
(hkl)  d/Å  intensity
2 0 0  4.978  25.6
0 2 0  4.907  52.9
2 0 -1  3.796  41.3
0 2 1  3.722  94.8
2 2 -1  3.002  79.6
2 2 1  2.963  100.0
0 0 2  2.861  62.2
0 2 2  2.472  24.3
4 2 0  2.220  31.5
2 4 2  1.737  24.2



Record 3
Simulated X-ray powder pattern of Y3ZnRh3 for Cu Kα, from a structure optimized by DFT (PBE).
No peak broadening, texture or thermal motion is included.

Crystal structure
Unit cell a=4.105 b=10.241 c=13.762 alpha=90.00 beta=90.00 gamma=90.00
Space group Cmcm (No. 63)
One atom of each set of equivalent atoms:
Y  0.000  0.025  0.250
Y  0.000  0.303  0.103
Zn  0.000  0.000  0.000
Rh  0.000  0.251  0.750
Rh  0.000  0.409  0.591

Top 10 peaks for 10° ≤ 2θ ≤ 90°, in order of rising 2θ:
(hkl)  d/Å  intensity
1 1 2  3.333  17.2
1 1 3  2.931  19.5
1 3 0  2.625  44.3
1 1 4  2.554  79.4
0 4 1  2.517  19.8
0 0 6  2.294  27.4
1 3 3  2.278  100.0
0 4 3  2.234  27.3
2 0 0  2.053  57.7
2 0 6  1.529  15.5